Entry 1:
This entry pairs a crystal structure of Ba2YF7 with its computed powder diffraction line list. Radiation: CuKα. Structure: a PBE-relaxed structure.
Neutral-atom scattering factors, no anomalous dispersion.

Atomic structure:
a b c (Å): 9.016 8.095 11.363
angles (deg): 90.00 90.00 90.00
Fractional positions:
Ba (0.109, 0.250, 0.243)
Ba (0.192, 0.750, 0.396)
Ba (0.308, 0.250, 0.896)
Ba (0.391, 0.750, 0.743)
Ba (0.609, 0.250, 0.257)
Ba (0.692, 0.750, 0.104)
Ba (0.808, 0.250, 0.604)
Ba (0.891, 0.750, 0.757)
Y (0.184, 0.750, 0.055)
Y (0.316, 0.250, 0.555)
Y (0.684, 0.750, 0.445)
Y (0.816, 0.250, 0.945)
F (0.046, 0.250, 0.013)
F (0.090, 0.250, 0.617)
F (0.130, 0.571, 0.193)
F (0.130, 0.929, 0.193)
F (0.134, 0.750, 0.629)
F (0.247, 0.573, 0.914)
F (0.247, 0.927, 0.914)
F (0.253, 0.073, 0.414)
F (0.253, 0.427, 0.414)
F (0.366, 0.250, 0.129)
F (0.370, 0.071, 0.693)
F (0.370, 0.429, 0.693)
F (0.410, 0.750, 0.117)
F (0.454, 0.750, 0.513)
F (0.546, 0.250, 0.487)
F (0.590, 0.250, 0.883)
F (0.630, 0.571, 0.307)
F (0.630, 0.929, 0.307)
F (0.634, 0.750, 0.871)
F (0.747, 0.573, 0.586)
F (0.747, 0.927, 0.586)
F (0.753, 0.073, 0.086)
F (0.753, 0.427, 0.086)
F (0.866, 0.250, 0.371)
F (0.870, 0.071, 0.807)
F (0.870, 0.429, 0.807)
F (0.910, 0.750, 0.383)
F (0.954, 0.750, 0.987)

Main lines, by intensity (10° ≤ 2θ ≤ 90°):
- 2θ 21.96, I 100
- 2θ 25.97, I 90
- 2θ 21.20, I 76
- 2θ 27.56, I 53
- 2θ 41.07, I 42
- 2θ 30.71, I 31
- 2θ 41.59, I 27
- 2θ 39.10, I 26
- 2θ 42.15, I 25
- 2θ 19.69, I 23

***

Entry 2:
This entry pairs a crystal structure of BaY3F11 with its computed powder diffraction line list. Radiation: CuKα. Structure: a PBE-relaxed structure.
Neutral-atom scattering factors, no anomalous dispersion.

Atomic structure:
a b c (Å): 7.733 8.222 8.293
angles (deg): 80.11 64.89 63.83
Fractional positions:
Ba (0.191, 0.255, 0.336)
Ba (0.809, 0.745, 0.664)
Y (0.230, 0.247, 0.789)
Y (0.269, 0.766, 0.713)
Y (0.306, 0.751, 0.162)
Y (0.694, 0.249, 0.838)
Y (0.731, 0.234, 0.287)
Y (0.770, 0.753, 0.211)
F (0.047, 0.624, 0.314)
F (0.067, 0.042, 0.231)
F (0.074, 0.775, 0.023)
F (0.138, 0.550, 0.779)
F (0.215, 0.734, 0.471)
F (0.263, 0.041, 0.619)
F (0.325, 0.308, 0.988)
F (0.353, 0.900, 0.890)
F (0.404, 0.306, 0.500)
F (0.428, 0.903, 0.262)
F (0.499, 0.451, 0.171)
F (0.501, 0.549, 0.829)
F (0.572, 0.097, 0.738)
F (0.596, 0.694, 0.500)
F (0.647, 0.100, 0.110)
F (0.675, 0.692, 0.012)
F (0.737, 0.959, 0.381)
F (0.785, 0.266, 0.529)
F (0.862, 0.450, 0.221)
F (0.926, 0.225, 0.977)
F (0.933, 0.958, 0.769)
F (0.953, 0.376, 0.686)

Main lines, by intensity (10° ≤ 2θ ≤ 90°):
- 2θ 24.13, I 100
- 2θ 23.70, I 48
- 2θ 29.56, I 47
- 2θ 27.98, I 46
- 2θ 28.71, I 42
- 2θ 26.44, I 39
- 2θ 28.46, I 33
- 2θ 44.04, I 33
- 2θ 47.07, I 31
- 2θ 26.85, I 27

***

Entry 3:
This entry pairs a crystal structure of BaY3F11 with its computed powder diffraction line list. Radiation: CuKα. Structure: a PBE-relaxed structure.
Neutral-atom scattering factors, no anomalous dispersion.

Atomic structure:
a b c (Å): 8.793 4.420 16.304
angles (deg): 90.00 90.00 90.00
Fractional positions:
Ba (0.250, 0.000, 0.011)
Ba (0.750, 0.000, 0.989)
Y (0.000, 0.000, 0.231)
Y (0.000, 0.000, 0.500)
Y (0.000, 0.000, 0.769)
Y (0.500, 0.000, 0.231)
Y (0.500, 0.000, 0.500)
Y (0.500, 0.000, 0.769)
F (0.000, 0.500, 0.500)
F (0.007, 0.500, 0.765)
F (0.016, 0.000, 0.366)
F (0.023, 0.000, 0.903)
F (0.250, 0.000, 0.215)
F (0.250, 0.000, 0.508)
F (0.250, 0.000, 0.767)
F (0.250, 0.500, 0.074)
F (0.477, 0.000, 0.903)
F (0.484, 0.000, 0.366)
F (0.493, 0.500, 0.765)
F (0.500, 0.500, 0.500)
F (0.507, 0.500, 0.235)
F (0.516, 0.000, 0.634)
F (0.523, 0.000, 0.097)
F (0.750, 0.000, 0.233)
F (0.750, 0.000, 0.492)
F (0.750, 0.000, 0.785)
F (0.750, 0.500, 0.926)
F (0.977, 0.000, 0.097)
F (0.984, 0.000, 0.634)
F (0.993, 0.500, 0.235)

Main lines, by intensity (10° ≤ 2θ ≤ 90°):
- 2θ 20.09, I 100
- 2θ 21.80, I 64
- 2θ 20.93, I 38
- 2θ 29.82, I 33
- 2θ 22.98, I 33
- 2θ 26.07, I 32
- 2θ 40.83, I 27
- 2θ 41.06, I 26
- 2θ 46.12, I 20
- 2θ 20.20, I 19

***

Entry 4:
This entry pairs a crystal structure of BaYF2 with its computed powder diffraction line list. Radiation: CuKα. Structure: a PBE-relaxed structure.
Neutral-atom scattering factors, no anomalous dispersion.

Atomic structure:
a b c (Å): 6.863 6.863 6.863
angles (deg): 37.05 37.05 37.05
Fractional positions:
Ba (0.000, 0.000, 0.000)
Y (0.500, 0.500, 0.500)
F (0.384, 0.384, 0.384)
F (0.616, 0.616, 0.616)

Main lines, by intensity (10° ≤ 2θ ≤ 90°):
- 2θ 25.35, I 100
- 2θ 30.14, I 41
- 2θ 41.41, I 35
- 2θ 44.82, I 27
- 2θ 50.71, I 25
- 2θ 27.95, I 22
- 2θ 49.18, I 16
- 2θ 53.65, I 14
- 2θ 66.20, I 13
- 2θ 13.87, I 11

***

Entry 5:
This entry pairs a crystal structure of Ba6Zn7F26 with its computed powder diffraction line list. Radiation: CuKα. Structure: a PBE-relaxed structure.
Neutral-atom scattering factors, no anomalous dispersion.

Atomic structure:
a b c (Å): 10.324 10.324 12.491
angles (deg): 126.18 126.18 33.87
Fractional positions:
Ba (0.141, 0.141, 0.405)
Ba (0.158, 0.158, 0.898)
Ba (0.352, 0.352, 0.846)
Ba (0.648, 0.648, 0.154)
Ba (0.842, 0.842, 0.102)
Ba (0.859, 0.859, 0.595)
Zn (0.000, 0.000, 0.000)
Zn (0.245, 0.755, 0.500)
Zn (0.279, 0.279, 0.291)
Zn (0.481, 0.481, 0.214)
Zn (0.519, 0.519, 0.786)
Zn (0.721, 0.721, 0.709)
Zn (0.755, 0.245, 0.500)
F (0.021, 0.495, 0.383)
F (0.024, 0.482, 0.151)
F (0.091, 0.091, 0.575)
F (0.124, 0.124, 0.168)
F (0.218, 0.722, 0.081)
F (0.219, 0.753, 0.322)
F (0.247, 0.781, 0.678)
F (0.278, 0.782, 0.919)
F (0.353, 0.353, 0.080)
F (0.393, 0.393, 0.681)
F (0.411, 0.411, 0.422)
F (0.482, 0.024, 0.151)
F (0.495, 0.021, 0.383)
F (0.505, 0.979, 0.617)
F (0.518, 0.976, 0.849)
F (0.589, 0.589, 0.578)
F (0.607, 0.607, 0.319)
F (0.647, 0.647, 0.920)
F (0.722, 0.218, 0.081)
F (0.753, 0.219, 0.322)
F (0.781, 0.247, 0.678)
F (0.782, 0.278, 0.919)
F (0.876, 0.876, 0.832)
F (0.909, 0.909, 0.425)
F (0.976, 0.518, 0.849)
F (0.979, 0.505, 0.617)

Main lines, by intensity (10° ≤ 2θ ≤ 90°):
- 2θ 26.64, I 100
- 2θ 27.01, I 86
- 2θ 41.70, I 59
- 2θ 28.59, I 58
- 2θ 37.83, I 39
- 2θ 29.71, I 36
- 2θ 28.37, I 27
- 2θ 49.25, I 22
- 2θ 34.63, I 21
- 2θ 50.88, I 19

***

Entry 6:
This entry pairs a crystal structure of BaZnF4 with its computed powder diffraction line list. Radiation: CuKα. Structure: a PBE-relaxed structure.
Neutral-atom scattering factors, no anomalous dispersion.

Atomic structure:
a b c (Å): 7.747 7.747 5.967
angles (deg): 90.00 90.00 148.17
Fractional positions:
Ba (0.149, 0.851, 0.500)
Ba (0.851, 0.149, 0.000)
Zn (0.414, 0.586, 0.457)
Zn (0.586, 0.414, 0.957)
F (0.078, 0.922, 0.937)
F (0.302, 0.698, 0.262)
F (0.335, 0.665, 0.729)
F (0.469, 0.531, 0.124)
F (0.531, 0.469, 0.624)
F (0.665, 0.335, 0.229)
F (0.698, 0.302, 0.762)
F (0.922, 0.078, 0.437)

Main lines, by intensity (10° ≤ 2θ ≤ 90°):
- 2θ 26.44, I 100
- 2θ 28.24, I 46
- 2θ 41.20, I 41
- 2θ 23.89, I 38
- 2θ 39.92, I 31
- 2θ 42.55, I 30
- 2θ 29.95, I 29
- 2θ 31.51, I 25
- 2θ 27.63, I 24
- 2θ 38.67, I 21

***

Entry 7:
This entry pairs a crystal structure of Ba2ZnF6 with its computed powder diffraction line list. Radiation: CuKα. Structure: a PBE-relaxed structure.
Neutral-atom scattering factors, no anomalous dispersion.

Atomic structure:
a b c (Å): 5.730 6.956 9.661
angles (deg): 90.00 122.18 90.00
Fractional positions:
Ba (0.220, 0.099, 0.260)
Ba (0.220, 0.401, 0.760)
Ba (0.780, 0.599, 0.240)
Ba (0.780, 0.901, 0.740)
Zn (0.500, 0.000, 0.000)
Zn (0.500, 0.500, 0.500)
F (0.153, 0.144, 0.957)
F (0.153, 0.356, 0.457)
F (0.303, 0.725, 0.940)
F (0.303, 0.775, 0.440)
F (0.366, 0.039, 0.762)
F (0.366, 0.461, 0.262)
F (0.634, 0.539, 0.738)
F (0.634, 0.961, 0.238)
F (0.697, 0.225, 0.560)
F (0.697, 0.275, 0.060)
F (0.847, 0.644, 0.543)
F (0.847, 0.856, 0.043)

Main lines, by intensity (10° ≤ 2θ ≤ 90°):
- 2θ 28.93, I 100
- 2θ 27.88, I 90
- 2θ 30.61, I 84
- 2θ 22.35, I 72
- 2θ 42.10, I 67
- 2θ 19.57, I 64
- 2θ 23.42, I 59
- 2θ 20.11, I 58
- 2θ 43.25, I 57
- 2θ 31.30, I 54